No. 1
Diffraction record for K2Si6GeO15. The powder diffractogram is computed, not measured: it uses a crystal structure in Alexandria, relaxed with GGA-PBE and CuKα.
No peak broadening, texture or thermal motion is included.

Largest 6 diffraction maxima, low angle first, 2θ from 10° to 80°:
2θ 14.55, I = 100
2θ 21.62, I = 49
2θ 25.02, I = 78
2θ 27.21, I = 47
2θ 27.41, I = 58
2θ 29.27, I = 39

Lattice parameters (Å, degrees): 7.3446 7.3446 15.0166 104.54 104.54 59.57
Positions (direct):
K 0.0679 0.9321 0.5000
K 0.3560 0.7205 0.8117
K 0.7205 0.3560 0.3117
K 0.9321 0.0679 0.0000
Si 0.1902 0.2657 0.2195
Si 0.1977 0.3405 0.5254
Si 0.2657 0.1902 0.7195
Si 0.2787 0.8391 0.2350
Si 0.3405 0.1977 0.0254
Si 0.4380 0.5442 0.0410
Si 0.5442 0.4380 0.5410
Si 0.7097 0.7375 0.0428
Si 0.7375 0.7097 0.5428
Si 0.7442 0.9166 0.7523
Si 0.8391 0.2787 0.7350
Si 0.9166 0.7442 0.2523
Ge 0.0403 0.5416 0.8856
Ge 0.5416 0.0403 0.3856
O 0.0863 0.1111 0.7131
O 0.1111 0.0863 0.2131
O 0.1439 0.7458 0.2622
O 0.1746 0.2754 0.9327
O 0.2096 0.2660 0.1127
O 0.2107 0.4133 0.7871
O 0.2557 0.6240 0.9533
O 0.2660 0.2096 0.6127
O 0.2754 0.1746 0.4327
O 0.2974 0.5092 0.5533
O 0.3672 0.6977 0.1381
O 0.4133 0.2107 0.2871
O 0.4778 0.8195 0.3153
O 0.4788 0.9364 0.0057
O 0.4926 0.9842 0.7523
O 0.5092 0.2974 0.0533
O 0.5349 0.6597 0.5281
O 0.6240 0.2557 0.4533
O 0.6597 0.5349 0.0281
O 0.6891 0.8944 0.4890
O 0.6977 0.3672 0.6381
O 0.7458 0.1439 0.7622
O 0.7675 0.8151 0.1534
O 0.8068 0.9073 0.3397
O 0.8151 0.7675 0.6534
O 0.8195 0.4778 0.8153
O 0.8944 0.6891 0.9890
O 0.9073 0.8068 0.8397
O 0.9364 0.4788 0.5057
O 0.9842 0.4926 0.2523


No. 2
Diffraction record for KGe2TeO6. The powder diffractogram is computed, not measured: it uses a crystal structure in Alexandria, relaxed with GGA-PBE and CuKα.
No peak broadening, texture or thermal motion is included.

Largest 6 diffraction maxima, low angle first, 2θ from 10° to 80°:
2θ 16.73, I = 64
2θ 24.46, I = 66
2θ 25.33, I = 100
2θ 29.92, I = 35
2θ 31.78, I = 32
2θ 34.30, I = 24

Lattice parameters (Å, degrees): 7.5455 7.5455 6.3839 105.15 105.15 84.42
Positions (direct):
K 0.1028 0.8972 0.7500
K 0.8972 0.1028 0.2500
Ge 0.1814 0.3585 0.7983
Ge 0.3585 0.1814 0.2983
Ge 0.6415 0.8186 0.7017
Ge 0.8186 0.6415 0.2017
Te 0.2930 0.7070 0.2500
Te 0.7070 0.2930 0.7500
O 0.0540 0.7378 0.3198
O 0.1585 0.6012 0.9113
O 0.2566 0.3016 0.5322
O 0.2622 0.9460 0.1802
O 0.3016 0.2566 0.0322
O 0.3988 0.8415 0.5887
O 0.6012 0.1585 0.4113
O 0.6984 0.7434 0.9678
O 0.7378 0.0540 0.8198
O 0.7434 0.6984 0.4678
O 0.8415 0.3988 0.0887
O 0.9460 0.2622 0.6802


No. 3
Diffraction record for KTm4Ge3O12. The powder diffractogram is computed, not measured: it uses a crystal structure in Alexandria, relaxed with GGA-PBE and CuKα.
No peak broadening, texture or thermal motion is included.

Largest 6 diffraction maxima, low angle first, 2θ from 10° to 80°:
2θ 21.96, I = 24
2θ 31.25, I = 100
2θ 44.77, I = 20
2θ 50.40, I = 14
2θ 55.61, I = 47
2θ 74.05, I = 19

Lattice parameters (Å, degrees): 7.0118 7.0118 7.0118 109.47 109.47 109.47
Positions (direct):
K 0.0000 0.0000 0.0000
Tm 0.0000 0.0000 0.5000
Tm 0.0000 0.5000 0.0000
Tm 0.5000 0.0000 0.0000
Tm 0.5000 0.5000 0.5000
Ge 0.0000 0.5000 0.5000
Ge 0.5000 0.0000 0.5000
Ge 0.5000 0.5000 0.0000
O 0.1621 0.3322 0.4943
O 0.1621 0.6678 0.8299
O 0.1701 0.8379 0.3322
O 0.3322 0.1701 0.8379
O 0.3322 0.4943 0.1621
O 0.4943 0.1621 0.3322
O 0.5057 0.8379 0.6678
O 0.6678 0.5057 0.8379
O 0.6678 0.8299 0.1621
O 0.8299 0.1621 0.6678
O 0.8379 0.3322 0.1701
O 0.8379 0.6678 0.5057


No. 4
Diffraction record for KYGeO4. The powder diffractogram is computed, not measured: it uses a crystal structure in Alexandria, relaxed with GGA-PBE and CuKα.
No peak broadening, texture or thermal motion is included.

Largest 6 diffraction maxima, low angle first, 2θ from 10° to 80°:
2θ 12.49, I = 100
2θ 19.59, I = 38
2θ 29.41, I = 29
2θ 30.34, I = 40
2θ 34.76, I = 31
2θ 38.08, I = 26

Lattice parameters (Å, degrees): 5.7671 5.8921 7.4299 90.00 107.45 90.00
Positions (direct):
K 0.1825 0.2500 0.4289
K 0.8175 0.7500 0.5711
Y 0.2978 0.2500 0.9601
Y 0.7022 0.7500 0.0399
Ge 0.2415 0.7500 0.1639
Ge 0.7585 0.2500 0.8361
O 0.0345 0.7500 0.9328
O 0.0464 0.7500 0.3064
O 0.4550 0.5223 0.1813
O 0.4550 0.9777 0.1813
O 0.5450 0.0223 0.8187
O 0.5450 0.4777 0.8187
O 0.9536 0.2500 0.6936
O 0.9655 0.2500 0.0672


No. 5
Diffraction record for K2ZrGe2O7. The powder diffractogram is computed, not measured: it uses a crystal structure in Alexandria, relaxed with GGA-PBE and CuKα.
No peak broadening, texture or thermal motion is included.

Largest 6 diffraction maxima, low angle first, 2θ from 10° to 80°:
2θ 20.26, I = 54
2θ 29.27, I = 53
2θ 29.53, I = 96
2θ 30.89, I = 100
2θ 31.70, I = 36
2θ 43.69, I = 25

Lattice parameters (Å, degrees): 5.7919 5.7919 13.1981 102.81 102.81 58.33
Positions (direct):
K 0.0651 0.6407 0.8223
K 0.3593 0.9349 0.6777
K 0.6407 0.0651 0.3223
K 0.9349 0.3593 0.1777
Zr 0.0000 0.5000 0.5000
Zr 0.5000 0.0000 0.0000
Ge 0.2414 0.6837 0.1221
Ge 0.3163 0.7586 0.3779
Ge 0.6837 0.2414 0.6221
Ge 0.7586 0.3163 0.8779
O 0.0762 0.1879 0.9559
O 0.1396 0.8604 0.2500
O 0.1879 0.0762 0.4559
O 0.2135 0.5367 0.3989
O 0.3280 0.4233 0.6271
O 0.4233 0.3280 0.1271
O 0.4633 0.7865 0.1011
O 0.5367 0.2135 0.8989
O 0.5767 0.6720 0.8729
O 0.6720 0.5767 0.3729
O 0.7865 0.4633 0.6011
O 0.8121 0.9238 0.5441
O 0.8604 0.1396 0.7500
O 0.9238 0.8121 0.0441